For Hf5CoAs3, a cell relaxed with GGA-PBE gives the calculated powder X-ray diffraction pattern in this record (Cu Kα (weighted mean of Kα1 and Kα2)).

Structure:
```
Hf5CoAs3
1.0
17.399 0.000 0.000
0.000 3.682 0.000
0.000 0.000 10.465
Hf Co As
20 4 12
direct
0.022 0.250 0.120
0.077 0.750 0.557
0.132 0.250 0.816
0.168 0.750 0.258
0.223 0.250 0.484
0.277 0.750 0.984
0.332 0.250 0.758
0.368 0.750 0.316
0.423 0.250 0.057
0.478 0.750 0.620
0.522 0.250 0.380
0.577 0.750 0.943
0.632 0.250 0.684
0.668 0.750 0.242
0.723 0.250 0.016
0.777 0.750 0.516
0.832 0.250 0.742
0.868 0.750 0.184
0.923 0.250 0.443
0.978 0.750 0.880
0.092 0.250 0.368
0.408 0.750 0.868
0.592 0.250 0.132
0.908 0.750 0.632
0.007 0.750 0.311
0.119 0.750 0.009
0.219 0.750 0.685
0.281 0.250 0.185
0.381 0.250 0.509
0.493 0.250 0.811
0.507 0.750 0.189
0.619 0.750 0.491
0.719 0.750 0.815
0.781 0.250 0.315
0.881 0.250 0.991
0.993 0.250 0.689
```

Most intense lines, 2θ from 10° to 90°, most intense first:
(0 1 3), 2.534 Å, 2θ 35.43, intensity 100
(2 0 4), 2.506 Å, 2θ 35.84, intensity 78
(4 1 2), 2.476 Å, 2θ 36.29, intensity 53
(3 1 2), 2.672 Å, 2θ 33.53, intensity 49
(0 2 0), 1.841 Å, 2θ 49.52, intensity 46
(3 1 1), 2.980 Å, 2θ 29.99, intensity 45
(7 0 1), 2.418 Å, 2θ 37.18, intensity 41
(4 1 1), 2.714 Å, 2θ 33.00, intensity 36
(5 1 2), 2.277 Å, 2θ 39.58, intensity 31
(6 1 2), 2.089 Å, 2θ 43.32, intensity 31